Entry 1:
Simulated powder X-ray diffraction pattern
Compound: TiCo2Au2
Radiation: Cu Ka
Structure: a cell relaxed with PBE
Peak positions follow from Bragg's law for the DFT cell and can differ from measured ones.

Peak list (10 most intense, 10 to 80 degrees two-theta, in order of rising 2θ)
27.10 deg, I 100; 32.80 deg, I 29; 37.54 deg, I 31; 39.05 deg, I 19; 39.82 deg, I 41; 42.16 deg, I 85; 46.09 deg, I 56; 54.14 deg, I 33; 61.57 deg, I 22; 70.91 deg, I 37

Crystal structure
```
TiCo2Au2
1.0
3.3880 0.0000 0.0000
0.0000 3.3880 0.0000
0.0000 0.0000 13.8385
Ti Co Au
2 4 4
direct
0.0000 0.0000 0.0000 Ti
0.5000 0.5000 0.5000 Ti
0.0000 0.5000 0.2500 Co
0.0000 0.5000 0.7500 Co
0.5000 0.0000 0.2500 Co
0.5000 0.0000 0.7500 Co
0.0000 0.0000 0.3980 Au
0.0000 0.0000 0.6020 Au
0.5000 0.5000 0.1020 Au
0.5000 0.5000 0.8980 Au
```



Entry 2:
Simulated powder X-ray diffraction pattern
Compound: U5As5S
Radiation: Cu Ka
Structure: a cell relaxed with PBE
Peak positions follow from Bragg's law for the DFT cell and can differ from measured ones.

Peak list (10 most intense, 10 to 80 degrees two-theta, in order of rising 2θ)
27.00 deg, I 30; 27.34 deg, I 29; 31.35 deg, I 51; 31.54 deg, I 100; 44.59 deg, I 19; 45.10 deg, I 38; 45.21 deg, I 37; 45.47 deg, I 20; 55.67 deg, I 20; 56.42 deg, I 20

Crystal structure
```
U5As5S
1.0
6.4228 -2.8326 0.0000
6.4228 2.8326 0.0000
-2.5121 0.0000 7.5727
U As S
5 5 1
direct
0.0000 0.0000 0.0000 U
0.3365 0.3365 0.6702 U
0.3393 0.3393 0.1666 U
0.6607 0.6607 0.8334 U
0.6635 0.6635 0.3298 U
0.1650 0.1650 0.8284 As
0.1692 0.1692 0.3357 As
0.5000 0.5000 0.5000 As
0.8308 0.8308 0.6643 As
0.8350 0.8350 0.1716 As
0.5000 0.5000 0.0000 S
```



Entry 3:
Simulated powder X-ray diffraction pattern
Compound: ErTm3Zr
Radiation: Cu Ka
Structure: a cell relaxed with PBE
Peak positions follow from Bragg's law for the DFT cell and can differ from measured ones.

Peak list (10 most intense, 10 to 80 degrees two-theta, in order of rising 2θ)
31.93 deg, I 99; 32.03 deg, I 100; 37.02 deg, I 33; 37.13 deg, I 67; 53.41 deg, I 46; 53.51 deg, I 12; 53.66 deg, I 12; 63.61 deg, I 39; 63.82 deg, I 27; 66.98 deg, I 12

Crystal structure
```
ErTm3Zr
1.0
3.4160 0.0000 0.0000
1.7053 8.9220 0.0000
0.0078 2.6624 9.3419
Er Tm Zr
2 6 2
direct
0.1027 0.2935 0.0590 Er
0.8973 0.7065 0.9410 Er
0.1067 0.2871 0.5461 Tm
0.2966 0.9068 0.1577 Tm
0.4972 0.5046 0.7491 Tm
0.5028 0.4954 0.2509 Tm
0.7034 0.0932 0.8423 Tm
0.8933 0.7129 0.4539 Tm
0.2962 0.9081 0.6388 Zr
0.7038 0.0919 0.3612 Zr
```